The following is a theoretical X-ray diffraction stick pattern of ErMo4. It was derived from a GGA-PBE-relaxed structure, using Cu Ka.

Atomic structure:
```
data_ErMo4
_chemical_formula_sum 'Er1 Mo4'
_symmetry_space_group_name_H-M 'P m -3 m'
_symmetry_Int_Tables_number 221
_symmetry_space_group_name_Hall '-P 4 2 3'
_cell_length_a 4.6786
_cell_length_b 4.6786
_cell_length_c 4.6786
_cell_angle_alpha 90.00
_cell_angle_beta 90.00
_cell_angle_gamma 90.00
loop_
_atom_site_label
_atom_site_type_symbol
_atom_site_fract_x
_atom_site_fract_y
_atom_site_fract_z
Er1 Er 0.0000 0.0000 0.0000
Mo1 Mo 0.0000 0.0000 0.5000
Mo2 Mo 0.5000 0.5000 0.5000
```

Top 10 peaks for 10 to 90 degrees two-theta, by intensity:
(hkl)  2θ (°)  d/Å  intensity
2 0 0  38.48  2.339  100
2 2 0  55.56  1.654  67
1 0 0  18.97  4.679  53
1 1 0  26.95  3.308  45
1 1 1  33.17  2.701  34
2 1 0  43.24  2.092  26
2 2 2  69.61  1.351  23
2 1 1  47.61  1.910  19
3 0 0  59.25  1.560  13
3 1 1  66.25  1.411  12